The following is a theoretical XRD peak list of Mn2Os2O7. It was derived from a DFT-relaxed cell (GGA+U, Alexandria), using copper Kα.
Kinematic intensities with the Lorentz-polarization factor, no thermal factor.

Crystal structure
Lattice parameters (Å, degrees): 7.1456 7.1456 7.1456 60.00 60.00 60.00
Fractional coordinates of all 22 atoms:
Mn 0.0000 0.0000 0.0000
Mn 0.0000 0.0000 0.5000
Mn 0.0000 0.5000 0.0000
Mn 0.5000 0.0000 0.0000
Os 0.0000 0.5000 0.5000
Os 0.5000 0.0000 0.5000
Os 0.5000 0.5000 0.0000
Os 0.5000 0.5000 0.5000
O 0.1250 0.1250 0.1250
O 0.1733 0.1733 0.5767
O 0.1733 0.5767 0.1733
O 0.1733 0.5767 0.5767
O 0.4233 0.4233 0.8267
O 0.4233 0.8267 0.4233
O 0.4233 0.8267 0.8267
O 0.5767 0.1733 0.1733
O 0.5767 0.1733 0.5767
O 0.5767 0.5767 0.1733
O 0.8267 0.4233 0.4233
O 0.8267 0.4233 0.8267
O 0.8267 0.8267 0.4233
O 0.8750 0.8750 0.8750

Peak list (10 most intense, 2θ = 10–80°, in order of rising 2θ)
2θ = 15.19°, I 42.4; 2θ = 29.31°, I 30.4; 2θ = 30.65°, I 100.0; 2θ = 35.53°, I 32.7; 2θ = 46.71°, I 9.8; 2θ = 51.13°, I 45.5; 2θ = 53.66°, I 9.6; 2θ = 60.80°, I 42.0; 2θ = 63.81°, I 10.2; 2θ = 71.74°, I 8.1